This entry pairs a crystal structure of CdCoGe2P with its computed PXRD pattern. Radiation: Cu Kα (λ = 1.5418 Å). Structure: a cell relaxed with GGA-PBE.
Lines closer than 0.1° are merged.

The 10 most intense peaks (2θ = 5–70°), low angle first:
2θ (°)  I/Imax  (hkl)
24.49  93  1 1 0
30.25  41  2 0 1
31.09  48  4 0 0
31.57  97  1 1 -1
32.80  41  4 0 -1
36.07  70  3 1 -1
43.62  100  3 1 1
44.63  33  0 0 2
46.15  51  5 1 -1
47.46  57  0 2 0

Atomic structure:
a = 11.9736 Å, b = 3.8304 Å, c = 4.2259 Å
α = 90.00°, β = 106.06°, γ = 90.00°
Space group Cm (No. 8)
Inequivalent atoms, fractional coordinates:
Cd1 0.0000 0.0000 0.0000 [2 per cell]
Co1 0.3474 0.5000 0.4021 [2 per cell]
Ge1 0.2111 0.0000 0.4089 [2 per cell]
Ge2 0.2380 0.5000 0.8421 [2 per cell]
P1 0.4325 0.0000 0.4504 [2 per cell]